[1]
The following is a theoretical X-ray diffraction stick pattern of Zr3ZnCo3. It was derived from a PBE-relaxed structure, using a wavelength of 1.5418 Å.

Principal peaks in the range 10° ≤ 2θ ≤ 90°, low angle first:
h k l, 2θ/deg, I/Imax
1 1 3, 32.8, 40
0 2 4, 35.3, 28
1 3 0, 36.9, 78
1 1 4, 38.3, 100
0 4 1, 39.9, 20
1 3 3, 43.3, 79
0 0 6, 44.5, 26
2 0 0, 45.1, 53
0 4 3, 45.3, 17
2 0 8, 78.7, 18

Atomic structure:
Cell: 4.022 9.195 12.209 Å, 90.00 90.00 90.00°
Space group Cmcm (No. 63)
Asymmetric unit:
1 Zr 0.000 0.018 0.250
2 Zr 0.000 0.302 0.105
3 Zn 0.000 0.000 0.000
4 Co 0.000 0.254 0.750
5 Co 0.000 0.407 0.595

[2]
The following is a theoretical X-ray diffraction stick pattern of Si23Te. It was derived from a PBE-relaxed structure, using a wavelength of 1.5418 Å.

Principal peaks in the range 10° ≤ 2θ ≤ 90°, low angle first:
h k l, 2θ/deg, I/Imax
1 1 0, 12.2, 87
2 1 0, 19.4, 33
2 2 0, 24.6, 10
3 1 0, 27.5, 10
3 2 1, 32.7, 100
4 1 0, 36.1, 11
3 3 0, 37.2, 26
4 3 1, 45.1, 11
6 0 0, 53.7, 19
5 3 2, 55.2, 42

Atomic structure:
Cell: 10.249 10.249 10.249 Å, 90.00 90.00 90.00°
Space group Pm-3n (No. 223)
Asymmetric unit:
1 Si 0.000 0.117 0.309
2 Si 0.000 0.250 0.500
3 Si 0.183 0.183 0.183
4 Te 0.000 0.000 0.000

[3]
The following is a theoretical X-ray diffraction stick pattern of Nd12Bi6C. It was derived from a PBE-relaxed structure, using a wavelength of 1.5418 Å.

Principal peaks in the range 10° ≤ 2θ ≤ 90°, low angle first:
h k l, 2θ/deg, I/Imax
0 0 3, 21.1, 26
3 -1 1, 21.4, 67
1 1 3, 25.0, 29
4 -3 1, 28.5, 46
1 0 4, 29.4, 53
4 -1 2, 31.1, 100
0 4 2, 33.9, 28
3 -1 4, 35.0, 62
4 1 0, 35.3, 41
2 3 2, 36.5, 60

Atomic structure:
Cell: 13.4445 13.4445 12.6078 Å, 90.00 90.00 120.00°
Space group R-3 (No. 148, hexagonal axes)
Asymmetric unit:
1 Nd 0.0341 0.8405 0.3884
2 Nd 0.0578 0.8796 0.8813
3 Bi 0.0413 0.6126 0.3116
4 C 0.0000 0.0000 0.0000

[4]
The following is a theoretical X-ray diffraction stick pattern of AsPtS2O. It was derived from a PBE-relaxed structure, using a wavelength of 1.5418 Å.

Principal peaks in the range 10° ≤ 2θ ≤ 90°, low angle first:
h k l, 2θ/deg, I/Imax
1 0 0, 18.6, 24
1 1 0, 26.5, 57
1 0 1, 31.4, 100
1 1 1, 36.7, 40
2 0 0, 37.8, 59
2 1 1, 49.9, 56
2 2 0, 54.5, 20
2 0 2, 65.4, 23
3 2 1, 77.0, 16
2 2 2, 78.1, 14

Atomic structure:
Cell: 4.762 4.762 3.562 Å, 90.00 90.00 90.00°
Space group P4/mmm (No. 123)
Asymmetric unit:
1 As 0.000 0.000 0.000
2 Pt 0.500 0.500 0.500
3 S 0.000 0.500 0.000
4 O 0.000 0.000 0.500

[5]
The following is a theoretical X-ray diffraction stick pattern of LaDy2Y7. It was derived from a PBE-relaxed structure, using a wavelength of 1.5418 Å.

Principal peaks in the range 10° ≤ 2θ ≤ 90°, low angle first:
h k l, 2θ/deg, I/Imax
1 0 2, 30.5, 100
2 1 -1, 35.4, 50
1 2 2, 50.9, 29
3 1 1, 60.6, 31
4 0 -2, 60.6, 10
0 4 0, 63.5, 9
-2 5 1, 83.0, 8
5 -2 0, 83.1, 8
3 -5 1, 85.6, 7
5 0 0, 85.7, 8

Atomic structure:
Cell: 6.205 6.212 9.483 Å, 102.52 109.05 99.65°
Space group P-1 (No. 2)
Asymmetric unit:
1 La 0.000 0.000 0.000
2 Dy 0.401 0.501 0.302
3 Y 0.000 0.500 0.500
4 Y 0.201 0.500 0.899
5 Y 0.202 0.002 0.401
6 Y 0.399 0.000 0.797

[6]
The following is a theoretical X-ray diffraction stick pattern of PmSmDy2Se4. It was derived from a PBE-relaxed structure, using a wavelength of 1.5418 Å.

Principal peaks in the range 10° ≤ 2θ ≤ 90°, low angle first:
h k l, 2θ/deg, I/Imax
1 1 -1, 26.7, 9
1 1 1, 30.6, 100
2 0 2, 43.2, 13
1 1 -3, 43.5, 25
3 1 -1, 44.2, 24
0 2 0, 44.5, 12
2 2 -2, 55.0, 13
2 2 2, 63.8, 12
0 2 4, 71.8, 11
4 2 0, 72.9, 11

Atomic structure:
Cell: 7.113 4.071 7.267 Å, 90.00 108.76 90.00°
Space group P2/m (No. 10)
Asymmetric unit:
1 Pm 0.000 0.000 0.000
2 Sm 0.500 0.500 0.000
3 Dy 0.000 0.500 0.500
4 Dy 0.500 0.000 0.500
5 Se 0.247 0.000 0.740
6 Se 0.255 0.500 0.261

[7]
The following is a theoretical X-ray diffraction stick pattern of K2CrSe3. It was derived from a PBE-relaxed structure, using a wavelength of 1.5418 Å.

Principal peaks in the range 10° ≤ 2θ ≤ 90°, low angle first:
h k l, 2θ/deg, I/Imax
1 0 0, 13.6, 76
1 1 1, 27.0, 100
1 1 2, 35.5, 86
2 1 1, 38.8, 68
3 0 0, 41.5, 29
1 1 3, 46.7, 22
2 1 3, 55.0, 24
2 2 2, 55.7, 20
4 0 2, 63.1, 17
3 2 1, 63.6, 17

Atomic structure:
Cell: 7.5448 7.5448 6.8020 Å, 90.00 90.00 120.00°
Space group P6_3/mcm (No. 193)
Asymmetric unit:
1 K 0.3333 0.6667 0.0000
2 Cr 0.0000 0.0000 0.0000
3 Se 0.0000 0.2538 0.2500

[8]
The following is a theoretical X-ray diffraction stick pattern of Th3Ni4Ir4. It was derived from a PBE-relaxed structure, using a wavelength of 1.5418 Å.

Principal peaks in the range 10° ≤ 2θ ≤ 90°, low angle first:
h k l, 2θ/deg, I/Imax
2 1 1, 29.4, 28
2 2 0, 34.1, 100
3 1 0, 38.3, 26
3 2 1, 45.7, 21
4 1 1, 52.2, 25
3 3 2, 58.2, 11
4 2 2, 61.1, 22
4 3 1, 63.9, 10
5 3 0, 74.4, 9
6 1 1, 79.5, 10

Atomic structure:
Cell: 7.433 7.433 7.433 Å, 90.00 90.00 90.00°
Space group I-43m (No. 217)
Asymmetric unit:
1 Th 0.000 0.000 0.500
2 Ni 0.115 0.115 0.885
3 Ir 0.203 0.203 0.203

[9]
The following is a theoretical X-ray diffraction stick pattern of Nd4TcBi. It was derived from a PBE-relaxed structure, using a wavelength of 1.5418 Å.

Principal peaks in the range 10° ≤ 2θ ≤ 90°, low angle first:
h k l, 2θ/deg, I/Imax
1 1 -2, 28.5, 65
1 3 1, 28.6, 28
0 4 1, 29.7, 33
3 1 -1, 30.4, 74
2 2 1, 32.8, 100
1 3 -2, 33.9, 79
1 5 -1, 35.5, 34
3 3 -1, 35.6, 29
3 3 0, 37.4, 28
4 2 -3, 51.9, 29

Atomic structure:
Cell: 9.074 13.940 6.431 Å, 90.00 111.57 90.00°
Space group C2/c (No. 15)
Asymmetric unit:
1 Nd 0.109 0.168 0.060
2 Nd 0.222 0.429 0.362
3 Tc 0.000 0.001 0.750
4 Bi 0.000 0.373 0.750

[10]
The following is a theoretical X-ray diffraction stick pattern of Tc2HgRu. It was derived from a PBE-relaxed structure, using a wavelength of 1.5418 Å.

Principal peaks in the range 10° ≤ 2θ ≤ 90°, low angle first:
h k l, 2θ/deg, I/Imax
0 1 1, 27.5, 21
0 1 2, 38.6, 98
1 1 0, 39.4, 100
1 0 -2, 44.8, 64
0 2 0, 46.4, 31
2 0 0, 66.5, 50
1 1 -4, 77.9, 19
2 1 -2, 79.6, 24
0 3 2, 80.7, 11
1 3 0, 81.3, 12

Atomic structure:
Cell: 2.812 3.916 5.817 Å, 90.00 90.06 90.00°
Space group Pm (No. 6)
Asymmetric unit:
1 Tc 0.000 0.000 0.000
2 Tc 0.496 0.500 0.205
3 Hg 0.998 0.000 0.498
4 Ru 0.499 0.500 0.777

[11]
The following is a theoretical X-ray diffraction stick pattern of BaHg5Pb2. It was derived from a PBE-relaxed structure, using a wavelength of 1.5418 Å.

Principal peaks in the range 10° ≤ 2θ ≤ 90°, low angle first:
h k l, 2θ/deg, I/Imax
1 1 4, 29.8, 13
2 1 3, 30.6, 100
3 1 0, 33.6, 47
0 0 6, 39.0, 13
3 2 3, 43.4, 12
3 1 6, 52.4, 14
4 0 6, 59.4, 9
5 2 3, 62.7, 18
2 1 9, 65.4, 11
5 2 9, 89.2, 7

Atomic structure:
Cell: 8.424 8.424 13.868 Å, 90.00 90.00 90.00°
Space group I4/mcm (No. 140)
Asymmetric unit:
1 Ba 0.000 0.000 0.250
2 Hg 0.000 0.000 0.000
3 Hg 0.134 0.366 0.160
4 Pb 0.160 0.340 0.500

[12]
The following is a theoretical X-ray diffraction stick pattern of Ce6SnSe12. It was derived from a PBE-relaxed structure, using a wavelength of 1.5418 Å.

Principal peaks in the range 10° ≤ 2θ ≤ 90°, low angle first:
h k l, 2θ/deg, I/Imax
3 -1 1, 22.5, 100
0 0 3, 22.7, 29
1 0 4, 31.5, 15
4 -1 2, 32.8, 29
4 1 0, 37.0, 86
3 -1 4, 37.3, 79
2 4 1, 43.7, 19
4 1 3, 43.9, 21
2 4 4, 53.6, 19
9 -5 2, 67.6, 16

Atomic structure:
Cell: 12.8493 12.8493 11.7457 Å, 90.00 90.00 120.00°
Space group R-3 (No. 148, hexagonal axes)
Asymmetric unit:
1 Ce 0.0501 0.7809 0.1469
2 Sn 0.0000 0.0000 0.5000
3 Se 0.0347 0.8171 0.8948
4 Se 0.0530 0.8400 0.3887